Record 1
This entry pairs a crystal structure of KU3 with its theoretical XRD peak list. Radiation: Cu Kα. Structure: a crystal structure in the Materials Project, relaxed with GGA-PBE.
Peak positions follow from Bragg's law for the DFT cell and can differ from measured ones.

Atomic structure:
Lattice parameters (Å, degrees): 4.845 14.831 9.597 90.00 120.26 90.00
Fractional positions:
K1 0.007 0.024 0.287
K2 0.007 0.476 0.787
K3 0.993 0.524 0.213
K4 0.993 0.976 0.713
U1 0.015 0.731 0.504
U2 0.015 0.769 0.004
U3 0.317 0.221 0.826
U4 0.317 0.279 0.326
U5 0.356 0.733 0.844
U6 0.356 0.767 0.344
U7 0.644 0.233 0.656
U8 0.644 0.267 0.156
U9 0.683 0.721 0.674
U10 0.683 0.779 0.174
U11 0.985 0.231 0.996
U12 0.985 0.269 0.496

Main lines, most intense first (2θ from 10° to 90°):
| d (Å) | Rel. int. |
| --- | --- |
| 7.415 | 100 |
| 2.284 | 27 |
| 3.708 | 21 |
| 2.400 | 19 |
| 2.303 | 15 |
| 2.015 | 14 |
| 2.422 | 8 |
| 2.028 | 7 |
| 1.722 | 5 |
| 3.384 | 5 |

Record 2
This entry pairs a crystal structure of K3V with its theoretical XRD peak list. Radiation: Cu Kα. Structure: a crystal structure in the Materials Project, relaxed with GGA-PBE.
Peak positions follow from Bragg's law for the DFT cell and can differ from measured ones.

Atomic structure:
Lattice parameters (Å, degrees): 7.028 7.028 7.028 130.71 130.71 72.28
Fractional positions:
K1 0.000 0.000 0.000
K2 0.250 0.750 0.500
K3 0.750 0.250 0.500
V1 0.500 0.500 0.000

Main lines, most intense first (2θ from 10° to 90°):
| d (Å) | Rel. int. |
| --- | --- |
| 3.347 | 100 |
| 2.931 | 34 |
| 1.762 | 26 |
| 2.039 | 22 |
| 2.838 | 16 |
| 1.721 | 12 |
| 2.072 | 12 |
| 1.674 | 11 |
| 1.324 | 9 |
| 1.190 | 6 |

Record 3
This entry pairs a crystal structure of K3V with its theoretical XRD peak list. Radiation: Cu Kα. Structure: a crystal structure in the Materials Project, relaxed with GGA-PBE.
Peak positions follow from Bragg's law for the DFT cell and can differ from measured ones.

Atomic structure:
Lattice parameters (Å, degrees): 6.518 6.518 6.518 60.00 60.00 60.00
Fractional positions:
K1 0.000 0.000 0.000
K2 0.250 0.250 0.250
K3 0.750 0.750 0.750
V1 0.500 0.500 0.500

Main lines, most intense first (2θ from 10° to 90°):
| d (Å) | Rel. int. |
| --- | --- |
| 3.259 | 100 |
| 1.882 | 36 |
| 2.304 | 18 |
| 1.232 | 15 |
| 1.457 | 14 |
| 1.629 | 11 |
| 1.330 | 3 |
| 1.152 | 2 |
| 5.322 | 1 |

Record 4
This entry pairs a crystal structure of K3W with its theoretical XRD peak list. Radiation: Cu Kα. Structure: a crystal structure in the Materials Project, relaxed with GGA-PBE.
Peak positions follow from Bragg's law for the DFT cell and can differ from measured ones.

Atomic structure:
Lattice parameters (Å, degrees): 6.794 6.794 6.794 128.48 128.48 75.85
Fractional positions:
K1 0.000 0.000 0.000
K2 0.250 0.750 0.500
K3 0.750 0.250 0.500
W1 0.500 0.500 0.000

Main lines, most intense first (2θ from 10° to 90°):
| d (Å) | Rel. int. |
| --- | --- |
| 3.294 | 100 |
| 5.172 | 59 |
| 2.952 | 37 |
| 1.763 | 31 |
| 1.984 | 23 |
| 2.564 | 21 |
| 4.175 | 18 |
| 3.057 | 17 |
| 5.359 | 16 |
| 2.680 | 14 |

Record 5
This entry pairs a crystal structure of K3W with its theoretical XRD peak list. Radiation: Cu Kα. Structure: a crystal structure in the Materials Project, relaxed with GGA-PBE.
Peak positions follow from Bragg's law for the DFT cell and can differ from measured ones.

Atomic structure:
Lattice parameters (Å, degrees): 6.380 6.380 6.380 60.00 60.00 60.00
Fractional positions:
K1 0.000 0.000 0.000
K2 0.250 0.250 0.250
K3 0.750 0.750 0.750
W1 0.500 0.500 0.500

Main lines, most intense first (2θ from 10° to 90°):
| d (Å) | Rel. int. |
| --- | --- |
| 3.190 | 100 |
| 5.209 | 44 |
| 1.842 | 39 |
| 2.720 | 27 |
| 4.511 | 24 |
| 2.256 | 19 |
| 1.206 | 19 |
| 1.427 | 16 |
| 2.070 | 13 |
| 2.018 | 12 |

Record 6
This entry pairs a crystal structure of K3Zn with its theoretical XRD peak list. Radiation: Cu Kα. Structure: a crystal structure in the Materials Project, relaxed with GGA-PBE.
Peak positions follow from Bragg's law for the DFT cell and can differ from measured ones.

Atomic structure:
Lattice parameters (Å, degrees): 6.638 6.638 6.638 60.00 60.00 60.00
Fractional positions:
K1 0.000 0.000 0.000
K2 0.250 0.250 0.250
K3 0.750 0.750 0.750
Zn1 0.500 0.500 0.500

Main lines, most intense first (2θ from 10° to 90°):
| d (Å) | Rel. int. |
| --- | --- |
| 3.319 | 100 |
| 1.916 | 37 |
| 2.347 | 18 |
| 1.254 | 16 |
| 1.484 | 15 |
| 1.659 | 11 |
| 1.106 | 8 |
| 5.420 | 5 |
| 1.355 | 4 |
| 2.830 | 3 |

Record 7
This entry pairs a crystal structure of KZn13 with its theoretical XRD peak list. Radiation: Cu Kα. Structure: a crystal structure in the Materials Project, relaxed with GGA-PBE.
Peak positions follow from Bragg's law for the DFT cell and can differ from measured ones.

Atomic structure:
Lattice parameters (Å, degrees): 8.754 8.754 8.754 60.00 60.00 60.00
Fractional positions:
K1 0.250 0.250 0.250
K2 0.750 0.750 0.750
Zn1 0.000 0.000 0.000
Zn2 0.061 0.299 0.701
Zn3 0.061 0.701 0.939
Zn4 0.061 0.939 0.299
Zn5 0.201 0.439 0.799
Zn6 0.201 0.561 0.439
Zn7 0.201 0.799 0.561
Zn8 0.299 0.061 0.939
Zn9 0.299 0.701 0.061
Zn10 0.299 0.939 0.701
Zn11 0.439 0.201 0.561
Zn12 0.439 0.561 0.799
Zn13 0.439 0.799 0.201
Zn14 0.500 0.500 0.500
Zn15 0.561 0.201 0.799
Zn16 0.561 0.439 0.201
Zn17 0.561 0.799 0.439
Zn18 0.701 0.061 0.299
Zn19 0.701 0.299 0.939
Zn20 0.701 0.939 0.061
Zn21 0.799 0.201 0.439
Zn22 0.799 0.439 0.561
Zn23 0.799 0.561 0.201
Zn24 0.939 0.061 0.701
Zn25 0.939 0.299 0.061
Zn26 0.939 0.701 0.299

Main lines, most intense first (2θ from 10° to 90°):
| d (Å) | Rel. int. |
| --- | --- |
| 2.093 | 100 |
| 2.527 | 45 |
| 2.063 | 44 |
| 6.190 | 32 |
| 1.359 | 15 |
| 1.154 | 14 |
| 2.768 | 13 |
| 1.298 | 9 |
| 1.264 | 8 |
| 1.238 | 8 |

Record 8
This entry pairs a crystal structure of K3Zn with its theoretical XRD peak list. Radiation: Cu Kα. Structure: a crystal structure in the Materials Project, relaxed with GGA-PBE.
Peak positions follow from Bragg's law for the DFT cell and can differ from measured ones.

Atomic structure:
Lattice parameters (Å, degrees): 5.849 5.849 5.849 90.00 90.00 90.00
Fractional positions:
K1 0.000 0.000 0.500
K2 0.000 0.500 0.000
K3 0.500 0.000 0.000
Zn1 0.500 0.500 0.500

Main lines, most intense first (2θ from 10° to 90°):
| d (Å) | Rel. int. |
| --- | --- |
| 3.377 | 100 |
| 2.924 | 50 |
| 1.763 | 40 |
| 2.068 | 35 |
| 1.342 | 15 |
| 1.308 | 14 |
| 1.688 | 11 |
| 1.126 | 11 |
| 1.194 | 10 |
| 5.849 | 6 |